Entry 1:
This entry pairs a crystal structure of Li9Mn2Co5O16 with its computed powder XRD pattern. Radiation: Cu Ka. Structure: a crystal structure in the Materials Project, relaxed with PBE+U.
Peak positions follow from Bragg's law for the DFT cell and can differ from measured ones.

Peak list (12 most intense, 10 to 80 degrees two-theta, most intense first)
| 2θ (°) | d [Å] | I/Imax |
| --- | --- | --- |
| 18.3 | 4.853 | 100 |
| 43.7 | 2.071 | 54 |
| 43.1 | 2.100 | 28 |
| 36.1 | 2.485 | 25 |
| 62.9 | 1.478 | 22 |
| 35.6 | 2.525 | 14 |
| 63.2 | 1.471 | 14 |
| 57.5 | 1.603 | 10 |
| 47.6 | 1.910 | 9 |
| 64.2 | 1.450 | 7 |
| 37.7 | 2.386 | 7 |
| 37.3 | 2.410 | 5 |

Cell and atoms:
abc: 6.642 6.642 15.353
angles: 92.25 92.25 25.22
Element x y z (fractional)
Li1 0.000 0.000 0.000
Li2 0.062 0.062 0.185
Li3 0.122 0.122 0.365
Li4 0.247 0.247 0.742
Li5 0.377 0.377 0.123
Li6 0.501 0.501 0.496
Li7 0.623 0.623 0.869
Li8 0.743 0.743 0.243
Li9 0.873 0.873 0.616
Mn1 0.308 0.308 0.933
Mn2 0.442 0.442 0.304
Co1 0.187 0.187 0.557
Co2 0.564 0.564 0.682
Co3 0.671 0.671 0.067
Co4 0.810 0.810 0.431
Co5 0.936 0.936 0.806
O1 0.034 0.034 0.595
O2 0.090 0.090 0.771
O3 0.168 0.168 0.966
O4 0.219 0.219 0.144
O5 0.290 0.290 0.343
O6 0.339 0.339 0.520
O7 0.410 0.410 0.723
O8 0.453 0.453 0.891
O9 0.535 0.535 0.083
O10 0.579 0.579 0.279
O11 0.660 0.660 0.468
O12 0.715 0.715 0.649
O13 0.780 0.780 0.850
O14 0.841 0.841 0.013
O15 0.907 0.907 0.225
O16 0.962 0.962 0.392

---

Entry 2:
This entry pairs a crystal structure of KSrLaMnO6 with its computed powder XRD pattern. Radiation: Cu Ka. Structure: a crystal structure in the Materials Project, relaxed with PBE+U.
Peak positions follow from Bragg's law for the DFT cell and can differ from measured ones.

Peak list (12 most intense, 10 to 80 degrees two-theta, most intense first)
| 2θ (°) | d [Å] | I/Imax |
| --- | --- | --- |
| 29.8 | 3.003 | 100 |
| 52.8 | 1.734 | 38 |
| 42.6 | 2.123 | 36 |
| 61.8 | 1.502 | 21 |
| 70.1 | 1.343 | 18 |
| 18.1 | 4.904 | 15 |
| 20.9 | 4.247 | 15 |
| 35.0 | 2.561 | 14 |
| 46.6 | 1.949 | 9 |
| 77.9 | 1.226 | 7 |
| 47.9 | 1.899 | 5 |
| 56.3 | 1.635 | 4 |

Cell and atoms:
abc: 6.006 6.006 6.006
angles: 60.00 60.00 60.00
Element x y z (fractional)
K1 0.000 0.000 0.000
Sr1 0.500 0.500 0.500
La1 0.750 0.750 0.750
Mn1 0.250 0.250 0.250
O1 0.025 0.025 0.475
O2 0.025 0.475 0.025
O3 0.025 0.475 0.475
O4 0.475 0.025 0.025
O5 0.475 0.025 0.475
O6 0.475 0.475 0.025

---

Entry 3:
This entry pairs a crystal structure of Li9Mn2Co5O16 with its computed powder XRD pattern. Radiation: Cu Ka. Structure: a crystal structure in the Materials Project, relaxed with PBE+U.
Peak positions follow from Bragg's law for the DFT cell and can differ from measured ones.

Peak list (12 most intense, 10 to 80 degrees two-theta, most intense first)
| 2θ (°) | d [Å] | I/Imax |
| --- | --- | --- |
| 18.3 | 4.837 | 100 |
| 40.8 | 2.210 | 35 |
| 44.4 | 2.041 | 26 |
| 45.0 | 2.015 | 25 |
| 34.1 | 2.632 | 20 |
| 62.4 | 1.489 | 16 |
| 36.5 | 2.464 | 12 |
| 36.9 | 2.437 | 11 |
| 61.7 | 1.504 | 9 |
| 64.3 | 1.449 | 9 |
| 62.1 | 1.495 | 8 |
| 65.8 | 1.419 | 7 |

Cell and atoms:
abc: 3.018 8.061 11.998
angles: 90.80 94.54 90.85
Element x y z (fractional)
Li1 0.000 0.000 0.000
Li2 0.000 0.496 0.252
Li3 0.003 0.498 0.748
Li4 0.495 0.246 0.125
Li5 0.500 0.250 0.373
Li6 0.500 0.752 0.873
Li7 0.501 0.750 0.373
Li8 0.505 0.252 0.622
Li9 0.999 0.007 0.494
Mn1 0.009 0.501 0.001
Mn2 0.501 0.748 0.623
Co1 0.006 0.489 0.492
Co2 0.500 0.248 0.872
Co3 0.500 0.754 0.126
Co4 0.992 0.001 0.748
Co5 0.998 0.009 0.254
O1 0.004 0.225 0.246
O2 0.017 0.259 0.992
O3 0.022 0.730 0.502
O4 0.028 0.743 0.007
O5 0.465 0.008 0.867
O6 0.475 0.999 0.364
O7 0.476 0.508 0.617
O8 0.479 0.513 0.123
O9 0.523 0.992 0.628
O10 0.524 0.500 0.382
O11 0.524 0.989 0.132
O12 0.537 0.490 0.877
O13 0.975 0.762 0.745
O14 0.976 0.771 0.241
O15 0.983 0.237 0.755
O16 0.996 0.273 0.500